Starting from DFT lattice parameters and positions (GGA-PBE), the PXRD pattern of Dy2Mg2Pd5 was computed for Cu Kα (λ = 1.5418 Å).
Lines closer than 0.1° are merged.

Cell: 5.936 16.016 7.314 Å, 90.00 90.00 90.00°
Space group Imma (No. 74)
Symmetry-distinct sites (fractional):
Dy: 0.000 0.000 0.000
Dy: 0.000 0.250 0.053
Mg: 0.000 0.084 0.542
Pd: 0.000 0.250 0.449
Pd: 0.250 0.110 0.250
Pd: 0.250 0.165 0.750

Largest 6 diffraction maxima, sorted by position, 2θ from 15° to 90°:
- 2θ = 29.55°, I 30
- 2θ = 33.18°, I 90
- 2θ = 37.73°, I 74
- 2θ = 39.08°, I 100
- 2θ = 40.69°, I 25
- 2θ = 41.35°, I 25

***

Starting from DFT lattice parameters and positions (GGA-PBE), the PXRD pattern of ErCd3Cu8 was computed for Cu Kα (λ = 1.5418 Å).
Lines closer than 0.1° are merged.

Cell: 5.0607 5.0607 24.8512 Å, 90.00 90.00 120.00°
Space group R3m (No. 160, hexagonal axes)
Symmetry-distinct sites (fractional):
Er: 0.0000 0.0000 0.0000
Cd: 0.0000 0.0000 0.1276
Cd: 0.0000 0.0000 0.4995
Cd: 0.0000 0.0000 0.6210
Cu: 0.0000 0.0000 0.3123
Cu: 0.0000 0.0000 0.8126
Cu: 0.0000 0.5000 0.0632
Cu: 0.9999 0.5000 0.5621

Largest 6 diffraction maxima, sorted by position, 2θ from 15° to 90°:
- 2θ = 35.45°, I 51
- 2θ = 41.83°, I 100
- 2θ = 43.78°, I 22
- 2θ = 63.68°, I 13
- 2θ = 68.03°, I 22
- 2θ = 75.08°, I 11

***

Starting from DFT lattice parameters and positions (GGA-PBE), the PXRD pattern of HfB2Mo was computed for Cu Kα (λ = 1.5418 Å).
Lines closer than 0.1° are merged.

Cell: 3.171 3.276 8.884 Å, 90.00 90.00 90.00°
Space group Amm2 (No. 38)
Symmetry-distinct sites (fractional):
Hf: 0.000 0.000 0.000
B: 0.000 0.000 0.291
B: 0.500 0.000 0.399
Mo: 0.500 0.000 0.711

Largest 6 diffraction maxima, sorted by position, 2θ from 15° to 90°:
- 2θ = 29.05°, I 66
- 2θ = 34.76°, I 100
- 2θ = 40.89°, I 99
- 2θ = 41.09°, I 65
- 2θ = 66.76°, I 30
- 2θ = 67.75°, I 29